The following is a calculated powder XRD pattern of CaV5O7. It was derived from the PBE+U geometry in the Materials Project, using a wavelength of 1.5418 Å.

Most intense lines, 2θ = 10–90°, low angle first:
hkl 1 1 3, 2θ = 33.5°, I 43
hkl 0 2 6, 2θ = 34.6°, I 100
hkl 0 2 7, 2θ = 39.1°, I 32
hkl 1 3 2, 2θ = 40.8°, I 98
hkl 1 3 3, 2θ = 42.3°, I 90
hkl 2 0 0, 2θ = 59.1°, I 33

Atomic structure:
```
data_CaV5O7
_chemical_formula_sum 'Ca4 V20 O28'
_symmetry_space_group_name_H-M 'C m c m'
_symmetry_Int_Tables_number 63
_symmetry_space_group_name_Hall '-C 2c 2'
_cell_length_a 3.124
_cell_length_b 10.036
_cell_length_c 18.148
_cell_angle_alpha 90.00
_cell_angle_beta 90.00
_cell_angle_gamma 90.00
loop_
_atom_site_label
_atom_site_fract_x
_atom_site_fract_y
_atom_site_fract_z
Ca1 0.000 0.210 0.250
V1 0.000 0.000 0.000
V2 0.000 0.278 0.574
V3 0.000 0.458 0.151
O1 0.000 0.084 0.111
O2 0.000 0.169 0.672
O3 0.000 0.367 0.040
O4 0.000 0.461 0.750
```


The following is a calculated powder XRD pattern of Ca3V2O7. It was derived from the PBE+U geometry in the Materials Project, using a wavelength of 1.5418 Å.

Most intense lines, 2θ = 10–90°, low angle first:
hkl 4 0 0, 2θ = 18.5°, I 15
hkl 0 0 2, 2θ = 32.4°, I 29
hkl 0 2 0, 2θ = 32.8°, I 100
hkl 0 2 2, 2θ = 46.7°, I 39
hkl 10 0 0, 2θ = 47.5°, I 17
hkl 5 3 1, 2θ = 58.5°, I 19

Atomic structure:
```
data_Ca3V2O7
_chemical_formula_sum 'Ca12 V8 O28'
_symmetry_space_group_name_H-M 'C m c 21'
_symmetry_Int_Tables_number 36
_symmetry_space_group_name_Hall 'C 2c -2'
_cell_length_a 19.135
_cell_length_b 5.467
_cell_length_c 5.528
_cell_angle_alpha 90.00
_cell_angle_beta 90.00
_cell_angle_gamma 90.00
loop_
_atom_site_label
_atom_site_fract_x
_atom_site_fract_y
_atom_site_fract_z
Ca1 0.000 0.242 0.000
Ca2 0.185 0.241 0.077
V1 0.100 0.251 0.542
O1 0.000 0.321 0.554
O2 0.085 0.039 0.250
O3 0.111 0.460 0.829
O4 0.197 0.187 0.523
```


The following is a calculated powder XRD pattern of CaV2O6. It was derived from the PBE+U geometry in the Materials Project, using a wavelength of 1.5418 Å.

Most intense lines, 2θ = 10–90°, low angle first:
hkl 1 0 1, 2θ = 20.3°, I 36
hkl 0 1 1, 2θ = 23.0°, I 95
hkl 2 0 0, 2θ = 24.3°, I 40
hkl 2 1 1, 2θ = 33.7°, I 100
hkl 0 2 2, 2θ = 47.0°, I 60
hkl 4 0 0, 2θ = 49.9°, I 30

Atomic structure:
```
data_CaV2O6
_chemical_formula_sum 'Ca2 V4 O12'
_symmetry_space_group_name_H-M 'P m n 21'
_symmetry_Int_Tables_number 31
_symmetry_space_group_name_Hall 'P 2ac -2'
_cell_length_a 7.312
_cell_length_b 5.488
_cell_length_c 5.446
_cell_angle_alpha 90.00
_cell_angle_beta 90.00
_cell_angle_gamma 90.00
loop_
_atom_site_label
_atom_site_fract_x
_atom_site_fract_y
_atom_site_fract_z
Ca1 0.000 0.198 0.000
V1 0.243 0.732 0.021
O1 0.000 0.260 0.520
O2 0.000 0.761 0.909
O3 0.217 0.466 0.187
O4 0.222 0.956 0.243
```


The following is a calculated powder XRD pattern of Ca2V2O9. It was derived from the PBE+U geometry in the Materials Project, using a wavelength of 1.5418 Å.

Most intense lines, 2θ = 10–90°, low angle first:
hkl 0 1 0, 2θ = 12.3°, I 100
hkl 0 0 2, 2θ = 22.7°, I 76
hkl -2 1 1, 2θ = 28.6°, I 73
hkl 2 -1 1, 2θ = 29.8°, I 44
hkl 0 1 2, 2θ = 29.8°, I 49
hkl 1 -3 1, 2θ = 31.6°, I 76

Atomic structure:
```
data_Ca2V2O9
_chemical_formula_sum 'Ca4 V4 O18'
_symmetry_space_group_name_H-M 'P -1'
_symmetry_Int_Tables_number 2
_symmetry_space_group_name_Hall '-P 1'
_cell_length_a 6.645
_cell_length_b 8.495
_cell_length_c 8.509
_cell_angle_alpha 109.64
_cell_angle_beta 92.92
_cell_angle_gamma 112.77
loop_
_atom_site_label
_atom_site_fract_x
_atom_site_fract_y
_atom_site_fract_z
Ca1 0.135 0.453 0.297
Ca2 0.327 0.440 0.791
V1 0.259 0.767 0.139
V2 0.486 0.756 0.644
O1 0.019 0.901 0.636
O2 0.061 0.684 0.252
O3 0.096 0.048 0.762
O4 0.124 0.751 0.958
O5 0.212 0.596 0.614
O6 0.367 0.302 0.231
O7 0.381 0.612 0.085
O8 0.460 0.004 0.262
O9 0.463 0.303 0.557
```


The following is a calculated powder XRD pattern of CaV2O5. It was derived from the PBE+U geometry in the Materials Project, using a wavelength of 1.5418 Å.

Most intense lines, 2θ = 10–90°, low angle first:
hkl 0 2 0, 2θ = 15.9°, I 100
hkl 1 1 0, 2θ = 24.6°, I 65
hkl 1 1 1, 2θ = 25.9°, I 19
hkl 0 2 3, 2θ = 28.5°, I 68
hkl 1 1 3, 2θ = 34.4°, I 37
hkl 2 0 0, 2θ = 47.6°, I 26

Atomic structure:
```
data_CaV2O5
_chemical_formula_sum 'Ca4 V8 O20'
_symmetry_space_group_name_H-M 'C m c m'
_symmetry_Int_Tables_number 63
_symmetry_space_group_name_Hall '-C 2c 2'
_cell_length_a 3.818
_cell_length_b 11.164
_cell_length_c 11.324
_cell_angle_alpha 90.00
_cell_angle_beta 90.00
_cell_angle_gamma 90.00
loop_
_atom_site_label
_atom_site_fract_x
_atom_site_fract_y
_atom_site_fract_z
Ca1 0.000 0.103 0.250
V1 0.000 0.202 0.596
O1 0.000 0.056 0.620
O2 0.000 0.241 0.075
O3 0.000 0.288 0.750
```


The following is a calculated powder XRD pattern of CaV5O7. It was derived from the PBE+U geometry in the Materials Project, using a wavelength of 1.5418 Å.

Most intense lines, 2θ = 10–90°, low angle first:
hkl 1 0 -3, 2θ = 33.7°, I 40
hkl 0 1 -6, 2θ = 34.4°, I 100
hkl 1 1 -2, 2θ = 40.6°, I 65
hkl 1 1 3, 2θ = 42.1°, I 67
hkl 1 0 9, 2θ = 55.0°, I 29
hkl 2 -1 0, 2θ = 59.8°, I 46

Atomic structure:
```
data_CaV5O7
_chemical_formula_sum 'Ca2 V10 O14'
_symmetry_space_group_name_H-M 'P 1'
_symmetry_Int_Tables_number 1
_symmetry_space_group_name_Hall 'P 1'
_cell_length_a 3.096
_cell_length_b 5.344
_cell_length_c 18.180
_cell_angle_alpha 90.12
_cell_angle_beta 90.04
_cell_angle_gamma 106.73
loop_
_atom_site_label
_atom_site_fract_x
_atom_site_fract_y
_atom_site_fract_z
Ca1 0.000 0.000 0.000
Ca2 0.424 0.850 0.501
V1 0.211 0.423 0.751
V2 0.213 0.422 0.249
V3 0.481 0.972 0.174
V4 0.483 0.968 0.826
V5 0.673 0.345 0.399
V6 0.677 0.353 0.598
V7 0.746 0.494 0.903
V8 0.753 0.503 0.103
V9 0.937 0.876 0.326
V10 0.940 0.879 0.675
O1 0.045 0.088 0.424
O2 0.048 0.097 0.579
O3 0.112 0.219 0.144
O4 0.122 0.247 0.858
O5 0.299 0.599 0.358
O6 0.301 0.600 0.643
O7 0.375 0.750 0.923
O8 0.390 0.781 0.082
O9 0.574 0.147 0.282
O10 0.577 0.155 0.713
O11 0.665 0.332 0.997
O12 0.758 0.515 0.503
O13 0.845 0.692 0.788
O14 0.849 0.709 0.214
```


The following is a calculated powder XRD pattern of CaV2O6. It was derived from the PBE+U geometry in the Materials Project, using a wavelength of 1.5418 Å.

Most intense lines, 2θ = 10–90°, low angle first:
hkl 2 0 0, 2θ = 17.4°, I 85
hkl 2 0 -1, 2θ = 19.0°, I 91
hkl 2 0 1, 2θ = 23.6°, I 92
hkl 2 0 -2, 2θ = 27.3°, I 57
hkl 1 1 -1, 2θ = 27.7°, I 52
hkl 1 1 1, 2θ = 29.5°, I 100

Atomic structure:
```
data_CaV2O6
_chemical_formula_sum 'Ca2 V4 O12'
_symmetry_space_group_name_H-M 'C 1 2/m 1'
_symmetry_Int_Tables_number 12
_symmetry_space_group_name_Hall '-C 2y'
_cell_length_a 10.476
_cell_length_b 3.698
_cell_length_c 7.267
_cell_angle_alpha 90.00
_cell_angle_beta 102.79
_cell_angle_gamma 90.00
loop_
_atom_site_label
_atom_site_fract_x
_atom_site_fract_y
_atom_site_fract_z
Ca1 0.000 0.000 0.000
V1 0.241 0.000 0.672
O1 0.101 0.000 0.741
O2 0.132 0.500 0.133
O3 0.244 0.000 0.397
```


The following is a calculated powder XRD pattern of CaV8O24. It was derived from the PBE+U geometry in the Materials Project, using a wavelength of 1.5418 Å.

Most intense lines, 2θ = 10–90°, low angle first:
hkl 3 0 0, 2θ = 23.7°, I 89
hkl 0 1 1, 2θ = 25.2°, I 100
hkl 1 1 1, 2θ = 26.9°, I 33
hkl 2 0 -4, 2θ = 31.7°, I 69
hkl 2 1 -3, 2θ = 34.9°, I 39
hkl 0 2 0, 2θ = 48.9°, I 39

Atomic structure:
```
data_CaV8O24
_chemical_formula_sum 'Ca1 V8 O24'
_symmetry_space_group_name_H-M 'P 1 m 1'
_symmetry_Int_Tables_number 6
_symmetry_space_group_name_Hall 'P -2y'
_cell_length_a 11.600
_cell_length_b 3.725
_cell_length_c 11.722
_cell_angle_alpha 90.00
_cell_angle_beta 103.50
_cell_angle_gamma 90.00
loop_
_atom_site_label
_atom_site_fract_x
_atom_site_fract_y
_atom_site_fract_z
Ca1 0.000 0.000 0.000
V1 0.292 0.500 0.704
V2 0.297 0.500 0.413
V3 0.301 0.000 0.214
V4 0.302 0.000 0.916
V5 0.580 0.000 0.112
V6 0.583 0.500 0.319
V7 0.583 0.500 0.614
V8 0.584 0.000 0.819
O1 0.151 0.500 0.657
O2 0.155 0.000 0.160
O3 0.156 0.000 0.901
O4 0.156 0.500 0.391
O5 0.323 0.500 0.880
O6 0.326 0.000 0.389
O7 0.329 0.000 0.748
O8 0.343 0.500 0.258
O9 0.354 0.500 0.575
O10 0.357 0.000 0.069
O11 0.525 0.000 0.951
O12 0.530 0.500 0.455
O13 0.547 0.000 0.276
O14 0.551 0.500 0.779
O15 0.555 0.500 0.143
O16 0.556 0.000 0.645
O17 0.721 0.000 0.130
O18 0.724 0.500 0.365
O19 0.724 0.500 0.633
O20 0.725 0.000 0.868
O21 0.902 0.500 0.039
O22 0.903 0.500 0.923
O23 0.934 0.000 0.686
O24 0.940 0.000 0.341
```


The following is a calculated powder XRD pattern of Ca2V3O8. It was derived from the PBE+U geometry in the Materials Project, using a wavelength of 1.5418 Å.

Most intense lines, 2θ = 10–90°, low angle first:
hkl 0 0 2, 2θ = 16.8°, I 99
hkl 1 0 -2, 2θ = 23.9°, I 66
hkl 1 0 3, 2θ = 30.6°, I 58
hkl 1 2 2, 2θ = 34.1°, I 100
hkl 2 0 1, 2θ = 35.2°, I 58
hkl 2 0 -5, 2θ = 55.8°, I 68

Atomic structure:
```
data_Ca2V3O8
_chemical_formula_sum 'Ca4 V6 O16'
_symmetry_space_group_name_H-M 'P 1'
_symmetry_Int_Tables_number 1
_symmetry_space_group_name_Hall 'P 1'
_cell_length_a 6.062
_cell_length_b 6.066
_cell_length_c 10.564
_cell_angle_alpha 89.98
_cell_angle_beta 89.98
_cell_angle_gamma 60.04
loop_
_atom_site_label
_atom_site_fract_x
_atom_site_fract_y
_atom_site_fract_z
Ca1 0.000 0.000 0.000
Ca2 0.000 0.001 0.408
Ca3 0.333 0.334 0.908
Ca4 0.333 0.335 0.501
V1 0.339 0.827 0.686
V2 0.500 0.994 0.186
V3 0.506 0.501 0.186
V4 0.825 0.834 0.686
V5 0.833 0.340 0.686
V6 0.993 0.506 0.187
O1 0.127 0.713 0.583
O2 0.160 0.128 0.583
O3 0.174 0.205 0.083
O4 0.205 0.621 0.083
O5 0.333 0.334 0.287
O6 0.356 0.838 0.277
O7 0.495 0.527 0.777
O8 0.527 0.977 0.778
O9 0.621 0.174 0.083
O10 0.666 0.667 0.087
O11 0.667 0.666 0.587
O12 0.712 0.160 0.583
O13 0.805 0.356 0.277
O14 0.839 0.805 0.277
O15 0.977 0.496 0.777
O16 0.999 0.000 0.787
```


The following is a calculated powder XRD pattern of CaV4O6. It was derived from the PBE+U geometry in the Materials Project, using a wavelength of 1.5418 Å.

Most intense lines, 2θ = 10–90°, low angle first:
hkl 2 0 -5, 2θ = 33.9°, I 100
hkl 2 0 5, 2θ = 34.2°, I 95
hkl 3 1 -1, 2θ = 39.8°, I 66
hkl 3 1 -2, 2θ = 41.0°, I 84
hkl 3 1 2, 2θ = 41.2°, I 84
hkl 0 2 0, 2θ = 59.7°, I 62

Atomic structure:
```
data_CaV4O6
_chemical_formula_sum 'Ca4 V16 O24'
_symmetry_space_group_name_H-M 'C 1 2/m 1'
_symmetry_Int_Tables_number 12
_symmetry_space_group_name_Hall '-C 2y'
_cell_length_a 10.214
_cell_length_b 3.097
_cell_length_c 15.367
_cell_angle_alpha 90.00
_cell_angle_beta 90.61
_cell_angle_gamma 90.00
loop_
_atom_site_label
_atom_site_fract_x
_atom_site_fract_y
_atom_site_fract_z
Ca1 0.151 0.000 0.251
V1 0.097 0.000 0.635
V2 0.099 0.000 0.867
V3 0.136 0.500 0.045
V4 0.137 0.500 0.459
O1 0.000 0.000 0.000
O2 0.000 0.000 0.500
O3 0.028 0.500 0.160
O4 0.029 0.500 0.342
O5 0.179 0.000 0.751
O6 0.223 0.500 0.914
O7 0.225 0.500 0.590
```